Diffraction record for Hf6MgZr12. The XRD peak list is computed, not measured: it uses a DFT-relaxed cell (GGA-PBE, Alexandria) and Cu Kα, 1.54184 Å.
Peak positions follow from Bragg's law for the DFT cell and can differ from measured ones.

Top 10 peaks for 2θ = 10–90°, sorted by position:
2θ/deg	I/Imax
11.77	19
14.93	28
19.05	14
33.64	33
35.44	23
35.79	39
35.88	100
36.96	24
38.98	30
39.08	30

Cell lengths 7.777, 7.777, 7.778 Å; angles 99.67, 99.48, 99.28 degrees
Sites, in units of the cell vectors:
Hf  0.098  0.098  0.161
Hf  0.098  0.661  0.598
Hf  0.339  0.902  0.402
Hf  0.661  0.098  0.598
Hf  0.902  0.339  0.402
Hf  0.902  0.902  0.839
Mg  0.000  0.000  0.500
Zr  0.068  0.337  0.838
Zr  0.245  0.500  0.256
Zr  0.246  0.754  0.000
Zr  0.337  0.069  0.838
Zr  0.337  0.338  0.570
Zr  0.500  0.244  0.256
Zr  0.500  0.756  0.744
Zr  0.663  0.662  0.430
Zr  0.663  0.931  0.162
Zr  0.754  0.246  0.000
Zr  0.755  0.500  0.744
Zr  0.932  0.663  0.162


Diffraction record for Y11In6Si4. The XRD peak list is computed, not measured: it uses a DFT-relaxed cell (GGA-PBE, Alexandria) and Cu Kα, 1.54184 Å.
Peak positions follow from Bragg's law for the DFT cell and can differ from measured ones.

Top 10 peaks for 2θ = 10–90°, sorted by position:
2θ/deg	I/Imax
28.54	17
32.60	93
33.08	100
34.92	18
36.25	25
42.74	22
47.48	16
56.64	17
58.78	15
65.78	24

Cell lengths 11.491, 11.491, 11.491 Å; angles 120.01, 120.01, 89.99 degrees
Sites, in units of the cell vectors:
Y  0.064  0.315  0.750
Y  0.101  0.449  0.348
Y  0.101  0.754  0.652
Y  0.169  0.169  0.000
Y  0.246  0.899  0.348
Y  0.315  0.064  0.750
Y  0.315  0.565  0.250
Y  0.333  0.333  0.666
Y  0.333  0.667  0.000
Y  0.435  0.685  0.750
Y  0.449  0.101  0.348
Y  0.551  0.899  0.652
Y  0.565  0.315  0.250
Y  0.667  0.333  0.000
Y  0.667  0.667  0.334
Y  0.685  0.435  0.750
Y  0.685  0.936  0.250
Y  0.754  0.101  0.652
Y  0.831  0.831  0.000
Y  0.899  0.246  0.348
Y  0.899  0.551  0.652
Y  0.936  0.685  0.250
In  0.035  0.035  0.412
In  0.035  0.623  0.000
In  0.129  0.129  0.258
In  0.129  0.871  0.000
In  0.377  0.377  0.412
In  0.377  0.965  0.000
In  0.623  0.035  0.000
In  0.623  0.623  0.588
In  0.871  0.129  0.000
In  0.871  0.871  0.742
In  0.965  0.377  0.000
In  0.965  0.965  0.588
Si  0.153  0.500  0.653
Si  0.250  0.750  0.500
Si  0.380  0.380  0.000
Si  0.500  0.153  0.653
Si  0.500  0.847  0.347
Si  0.620  0.620  0.000
Si  0.750  0.250  0.500
Si  0.847  0.500  0.347


Diffraction record for Zn13Co. The XRD peak list is computed, not measured: it uses a DFT-relaxed cell (GGA-PBE, Alexandria) and Cu Kα, 1.54184 Å.
Peak positions follow from Bragg's law for the DFT cell and can differ from measured ones.

Top 10 peaks for 2θ = 10–90°, sorted by position:
2θ/deg	I/Imax
36.01	32
41.68	97
41.91	100
42.73	38
42.92	76
43.29	46
44.42	30
44.66	45
74.44	22
76.01	28

Cell lengths 6.555, 6.555, 5.127 Å; angles 99.13, 99.13, 69.95 degrees
Sites, in units of the cell vectors:
Zn  0.000  0.000  0.000
Zn  0.004  0.643  0.201
Zn  0.220  0.626  0.680
Zn  0.222  0.222  0.371
Zn  0.357  0.996  0.799
Zn  0.374  0.780  0.320
Zn  0.386  0.386  0.066
Zn  0.614  0.614  0.934
Zn  0.626  0.220  0.680
Zn  0.643  0.004  0.201
Zn  0.778  0.778  0.629
Zn  0.780  0.374  0.320
Zn  0.996  0.357  0.799
Co  0.000  0.000  0.500


Diffraction record for Cd3As. The XRD peak list is computed, not measured: it uses a DFT-relaxed cell (GGA-PBE, Alexandria) and Cu Kα, 1.54184 Å.
Peak positions follow from Bragg's law for the DFT cell and can differ from measured ones.

Top 10 peaks for 2θ = 10–90°, sorted by position:
2θ/deg	I/Imax
21.74	12
27.79	14
33.22	85
35.43	100
38.77	53
41.98	31
43.09	14
52.96	13
58.46	29
69.37	15

Cell lengths 6.920, 8.609, 6.267 Å; angles 90.00, 90.00, 90.00 degrees
Sites, in units of the cell vectors:
Cd  0.008  0.010  0.230
Cd  0.008  0.490  0.230
Cd  0.225  0.750  0.018
Cd  0.275  0.250  0.518
Cd  0.492  0.510  0.730
Cd  0.492  0.990  0.730
Cd  0.508  0.010  0.270
Cd  0.508  0.490  0.270
Cd  0.725  0.750  0.482
Cd  0.775  0.250  0.982
Cd  0.992  0.510  0.770
Cd  0.992  0.990  0.770
As  0.136  0.750  0.498
As  0.364  0.250  0.998
As  0.636  0.750  0.002
As  0.864  0.250  0.502


Diffraction record for TiTeH2. The XRD peak list is computed, not measured: it uses a DFT-relaxed cell (GGA-PBE, Alexandria) and Cu Kα, 1.54184 Å.
Peak positions follow from Bragg's law for the DFT cell and can differ from measured ones.

Top 10 peaks for 2θ = 10–90°, sorted by position:
2θ/deg	I/Imax
17.37	36
23.20	35
27.99	100
30.79	79
35.16	27
37.64	28
38.53	33
40.84	82
42.09	67
64.11	27

Cell lengths 3.356, 5.808, 5.372 Å; angles 90.00, 108.15, 90.00 degrees
Sites, in units of the cell vectors:
Ti  0.248  0.250  0.497
Ti  0.752  0.750  0.503
Te  0.039  0.750  0.077
Te  0.961  0.250  0.923
H  0.300  0.576  0.602
H  0.300  0.924  0.602
H  0.700  0.076  0.398
H  0.700  0.424  0.398


Diffraction record for SmY5S6. The XRD peak list is computed, not measured: it uses a DFT-relaxed cell (GGA-PBE, Alexandria) and Cu Kα, 1.54184 Å.
Peak positions follow from Bragg's law for the DFT cell and can differ from measured ones.

Top 10 peaks for 2θ = 10–90°, sorted by position:
2θ/deg	I/Imax
27.74	25
27.82	24
32.19	100
46.11	35
46.17	23
46.28	12
54.69	16
57.29	12
57.48	12
76.61	15

Cell lengths 6.823, 6.823, 6.805 Å; angles 99.66, 99.66, 120.10 degrees
Sites, in units of the cell vectors:
Sm  0.000  0.000  0.000
Y  0.164  0.836  0.500
Y  0.334  0.666  0.000
Y  0.500  0.500  0.500
Y  0.666  0.334  0.000
Y  0.836  0.164  0.500
S  0.084  0.423  0.253
S  0.254  0.254  0.748
S  0.423  0.084  0.253
S  0.577  0.916  0.747
S  0.746  0.746  0.252
S  0.916  0.577  0.747


Diffraction record for Nd5Ho8In. The XRD peak list is computed, not measured: it uses a DFT-relaxed cell (GGA-PBE, Alexandria) and Cu Kα, 1.54184 Å.
Peak positions follow from Bragg's law for the DFT cell and can differ from measured ones.

Top 10 peaks for 2θ = 10–90°, sorted by position:
2θ/deg	I/Imax
30.11	50
31.25	32
31.40	100
31.65	61
32.73	59
33.05	32
33.18	31
51.84	17
57.94	16
62.03	27

Cell lengths 7.054, 8.539, 8.830 Å; angles 114.42, 101.85, 101.72 degrees
Sites, in units of the cell vectors:
Nd  0.000  0.000  0.000
Nd  0.076  0.719  0.592
Nd  0.192  0.284  0.443
Nd  0.480  0.158  0.721
Nd  0.671  0.258  0.412
Ho  0.272  0.818  0.253
Ho  0.385  0.398  0.131
Ho  0.489  0.967  0.984
Ho  0.580  0.722  0.586
Ho  0.768  0.822  0.257
Ho  0.852  0.568  0.858
Ho  0.888  0.393  0.139
Ho  0.973  0.168  0.721
In  0.354  0.557  0.866


Diffraction record for NaInH8Rh2. The XRD peak list is computed, not measured: it uses a DFT-relaxed cell (GGA-PBE, Alexandria) and Cu Kα, 1.54184 Å.
Peak positions follow from Bragg's law for the DFT cell and can differ from measured ones.

Top 10 peaks for 2θ = 10–90°, sorted by position:
2θ/deg	I/Imax
15.32	100
29.27	25
30.92	14
36.24	57
39.55	53
42.09	15
48.36	24
57.26	14
65.18	10
67.41	11

Cell lengths 6.454, 6.454, 6.454 Å; angles 45.18, 45.18, 45.18 degrees
Sites, in units of the cell vectors:
Na  0.000  0.000  0.000
In  0.500  0.500  0.500
H  0.025  0.025  0.611
H  0.025  0.611  0.025
H  0.291  0.291  0.291
H  0.389  0.975  0.975
H  0.611  0.025  0.025
H  0.709  0.709  0.709
H  0.975  0.389  0.975
H  0.975  0.975  0.389
Rh  0.194  0.194  0.194
Rh  0.806  0.806  0.806